Structure and theoretical powder diffraction line list of Er6Mg2Tc (a cell relaxed with PBE; Cu Kα X-rays).
Intensities are scaled so that the largest is 100.

Principal peaks in the range 2θ from 10° to 90°, low angle first:
11.54 deg, intensity 32.5
31.32 deg, intensity 35.5
31.53 deg, intensity 62.8
31.76 deg, intensity 100.0
33.75 deg, intensity 42.6
35.11 deg, intensity 36.3

Structural model:
```
data_Er6Mg2Tc
_chemical_formula_sum 'Er12 Mg4 Tc2'
_symmetry_space_group_name_H-M 'A m m 2'
_symmetry_Int_Tables_number 38
_symmetry_space_group_name_Hall 'A 2 -2'
_cell_length_a 3.682
_cell_length_b 15.078
_cell_length_c 8.906
_cell_angle_alpha 90.00
_cell_angle_beta 90.00
_cell_angle_gamma 90.00
loop_
_atom_site_label
_atom_site_type_symbol
_atom_site_fract_x
_atom_site_fract_y
_atom_site_fract_z
_atom_site_occupancy
Er1 Er 0.000 0.000 0.000 1
Er2 Er 0.000 0.117 0.622 1
Er3 Er 0.500 0.000 0.358 1
Er4 Er 0.500 0.187 0.933 1
Mg1 Mg 0.000 0.169 0.246 1
Tc1 Tc 0.500 0.000 0.764 1
```